1.
# Ho4AlSi4Ni2
Simulated PXRD pattern, Cu Ka. Input: a structure optimized by DFT (PBE).
Neutral-atom scattering factors, no anomalous dispersion.

Structural model:
```
data_Ho4AlSi4Ni2
_symmetry_space_group_name_H-M 'C 1 2/m 1'
_symmetry_Int_Tables_number 12
_cell_length_a 14.997
_cell_length_b 4.169
_cell_length_c 6.814
_cell_angle_alpha 90.00
_cell_angle_beta 108.56
_cell_angle_gamma 90.00
loop_
_symmetry_equiv_pos_as_xyz
'x,y,z'
'-x,-y,-z'
'-x,y,-z'
'x,-y,z'
'x+1/2,y+1/2,z'
'-x+1/2,-y+1/2,-z'
'-x+1/2,y+1/2,-z'
'x+1/2,-y+1/2,z'
loop_
_atom_site_label
_atom_site_fract_x
_atom_site_fract_y
_atom_site_fract_z
Ho1 0.088 0.000 0.385
Ho2 0.154 0.000 0.939
Al1 0.000 0.500 0.000
Si1 0.063 0.500 0.661
Si2 0.204 0.500 0.274
Ni1 0.216 0.500 0.643
```

Main lines, by angle (10 to 90 degrees two-theta):
22.22°, d = 4.001 Å, I 88, hkl 1 1 0; 26.43°, d = 3.372 Å, I 42, hkl 2 0 -2; 28.52°, d = 3.130 Å, I 32, hkl 3 1 0; 34.36°, d = 2.610 Å, I 74, hkl 3 1 1; 35.49°, d = 2.529 Å, I 100, hkl 3 1 -2; 35.98°, d = 2.496 Å, I 31, hkl 6 0 -1; 37.13°, d = 2.422 Å, I 76, hkl 5 1 -1; 37.32°, d = 2.410 Å, I 96, hkl 1 1 2; 38.32°, d = 2.349 Å, I 38, hkl 5 1 0; 43.41°, d = 2.085 Å, I 59, hkl 0 2 0

2.
# YHoAl4Ni2
Simulated PXRD pattern, Cu Ka. Input: a structure optimized by DFT (PBE).
Neutral-atom scattering factors, no anomalous dispersion.

Structural model:
```
data_YHoAl4Ni2
_symmetry_space_group_name_H-M 'A m m 2'
_symmetry_Int_Tables_number 38
_cell_length_a 6.873
_cell_length_b 4.055
_cell_length_c 10.172
_cell_angle_alpha 90.00
_cell_angle_beta 90.00
_cell_angle_gamma 90.00
loop_
_symmetry_equiv_pos_as_xyz
'x,y,z'
'-x,-y,z'
'-x,y,z'
'x,-y,z'
'x,y+1/2,z+1/2'
'-x,-y+1/2,z+1/2'
'-x,y+1/2,z+1/2'
'x,-y+1/2,z+1/2'
loop_
_atom_site_label
_atom_site_fract_x
_atom_site_fract_y
_atom_site_fract_z
Y1 0.000 0.000 0.000
Ho1 0.500 0.000 0.877
Al1 0.195 0.000 0.282
Al2 0.305 0.000 0.595
Ni1 0.000 0.000 0.723
Ni2 0.500 0.000 0.154
```

Main lines, by angle (10 to 90 degrees two-theta):
21.74°, d = 4.088 Å, I 17, hkl 1 0 2; 23.62°, d = 3.767 Å, I 56, hkl 0 1 1; 25.93°, d = 3.437 Å, I 48, hkl 2 0 0; 35.36°, d = 2.539 Å, I 93, hkl 2 1 1; 36.95°, d = 2.433 Å, I 100, hkl 1 1 3; 37.72°, d = 2.385 Å, I 57, hkl 1 0 4; 44.70°, d = 2.027 Å, I 29, hkl 0 2 0; 53.29°, d = 1.719 Å, I 41, hkl 4 0 0; 59.88°, d = 1.545 Å, I 29, hkl 1 2 4; 78.71°, d = 1.216 Å, I 19, hkl 5 1 3